Theoretical X-ray diffraction stick pattern of PuB5Pt11 for a wavelength of 1.5418 Å, from a PBE-relaxed structure.

Structure:
a b c (Å): 8.4251 9.4798 6.7762
angles (deg): 90.00 94.60 90.00
Space group C2/m (No. 12)
Symmetry-distinct sites (fractional):
Pu: 0.0000 0.0000 0.0000 [2 per cell]
B: 0.0000 0.5000 0.0000 [2 per cell]
B: 0.1359 0.1756 0.6608 [8 per cell]
Pt: 0.0000 0.0000 0.5000 [2 per cell]
Pt: 0.1245 0.2410 0.3588 [8 per cell]
Pt: 0.1313 0.3187 0.8978 [8 per cell]
Pt: 0.2148 0.5000 0.2223 [4 per cell]

Peak list (6 most intense, 10 to 80 degrees two-theta, sorted by position)
- 18.71 deg, 4.743 Å, rel. 30
- 33.40 deg, 2.683 Å, rel. 62
- 35.42 deg, 2.534 Å, rel. 53
- 37.93 deg, 2.372 Å, rel. 100
- 41.13 deg, 2.194 Å, rel. 24
- 47.35 deg, 1.920 Å, rel. 42



Theoretical X-ray diffraction stick pattern of Pu2B2PtRh5 for a wavelength of 1.5418 Å, from a PBE-relaxed structure.

Structure:
a b c (Å): 9.5578 9.5578 3.2617
angles (deg): 90.00 90.00 90.00
Space group P4/mbm (No. 127)
Symmetry-distinct sites (fractional):
Pu: 0.1793 0.3207 0.0000 [4 per cell]
B: 0.1202 0.6202 0.0000 [4 per cell]
Pt: 0.0000 0.0000 0.0000 [2 per cell]
Rh: 0.0000 0.5000 0.5000 [2 per cell]
Rh: 0.0707 0.7734 0.5000 [8 per cell]

Peak list (6 most intense, 10 to 80 degrees two-theta, sorted by position)
- 34.59 deg, 2.593 Å, rel. 97
- 38.36 deg, 2.347 Å, rel. 50
- 38.85 deg, 2.318 Å, rel. 78
- 40.70 deg, 2.217 Å, rel. 100
- 42.29 deg, 2.137 Å, rel. 35
- 70.62 deg, 1.334 Å, rel. 27



Theoretical X-ray diffraction stick pattern of RbBPt for a wavelength of 1.5418 Å, from a PBE-relaxed structure.

Structure:
a b c (Å): 13.8437 3.7205 6.4828
angles (deg): 90.00 109.17 90.00
Space group C2/m (No. 12)
Symmetry-distinct sites (fractional):
Rb: 0.1016 0.0000 0.3047 [4 per cell]
B: 0.2130 0.0000 0.9162 [4 per cell]
Pt: 0.1510 0.5000 0.8244 [4 per cell]

Peak list (6 most intense, 10 to 80 degrees two-theta, sorted by position)
- 16.26 deg, 5.451 Å, rel. 55
- 27.28 deg, 3.269 Å, rel. 47
- 27.82 deg, 3.206 Å, rel. 33
- 30.03 deg, 2.975 Å, rel. 100
- 31.62 deg, 2.830 Å, rel. 29
- 31.88 deg, 2.807 Å, rel. 62



Theoretical X-ray diffraction stick pattern of B3Pt5Rh for a wavelength of 1.5418 Å, from a PBE-relaxed structure.

Structure:
a b c (Å): 9.5909 7.0970 7.7602
angles (deg): 90.00 113.62 90.00
Space group C2/m (No. 12)
Symmetry-distinct sites (fractional):
B: 0.0000 0.0000 0.0000 [2 per cell]
B: 0.0000 0.0000 0.5000 [2 per cell]
B: 0.1666 0.5000 0.1678 [4 per cell]
B: 0.1719 0.5000 0.6653 [4 per cell]
Pt: 0.0000 0.2994 0.0000 [4 per cell]
Pt: 0.0637 0.5000 0.3647 [4 per cell]
Pt: 0.1676 0.2002 0.6656 [8 per cell]
Pt: 0.2326 0.0000 0.0325 [4 per cell]
Rh: 0.0993 0.0000 0.2987 [4 per cell]

Peak list (6 most intense, 10 to 80 degrees two-theta, sorted by position)
- 35.81 deg, 2.508 Å, rel. 89
- 37.70 deg, 2.386 Å, rel. 51
- 37.81 deg, 2.379 Å, rel. 100
- 37.96 deg, 2.370 Å, rel. 51
- 40.21 deg, 2.243 Å, rel. 66
- 78.66 deg, 1.216 Å, rel. 25



Theoretical X-ray diffraction stick pattern of B7Pt12Rh for a wavelength of 1.5418 Å, from a PBE-relaxed structure.

Structure:
a b c (Å): 11.3655 11.3655 7.2796
angles (deg): 90.00 90.00 120.00
Space group R3 (No. 146, hexagonal axes)
Symmetry-distinct sites (fractional):
B: 0.0000 0.0000 0.0000 [3 per cell]
B: 0.0375 0.1935 0.3433 [9 per cell]
B: 0.1841 0.1471 0.7613 [9 per cell]
Pt: 0.0397 0.5515 0.2236 [9 per cell]
Pt: 0.0548 0.2018 0.8988 [9 per cell]
Pt: 0.1627 0.3786 0.1975 [9 per cell]
Pt: 0.1657 0.1281 0.1967 [9 per cell]
Rh: 0.0000 0.0000 0.6265 [3 per cell]

Peak list (6 most intense, 10 to 80 degrees two-theta, sorted by position)
- 27.18 deg, 3.281 Å, rel. 25
- 35.11 deg, 2.556 Å, rel. 100
- 37.05 deg, 2.427 Å, rel. 40
- 41.34 deg, 2.184 Å, rel. 65
- 41.89 deg, 2.157 Å, rel. 20
- 46.55 deg, 1.951 Å, rel. 17



Theoretical X-ray diffraction stick pattern of B2Pt3Rh3 for a wavelength of 1.5418 Å, from a PBE-relaxed structure.

Structure:
a b c (Å): 3.6088 10.5905 11.0598
angles (deg): 90.00 90.00 90.00
Space group Cmcm (No. 63)
Symmetry-distinct sites (fractional):
B: 0.0000 0.1912 0.1167 [8 per cell]
Pt: 0.0000 0.0093 0.6253 [8 per cell]
Pt: 0.0000 0.3505 0.7500 [4 per cell]
Rh: 0.0000 0.3423 0.2500 [4 per cell]
Rh: 0.0000 0.3460 0.5032 [8 per cell]

Peak list (6 most intense, 10 to 80 degrees two-theta, sorted by position)
- 35.58 deg, 2.524 Å, rel. 100
- 36.67 deg, 2.451 Å, rel. 37
- 42.04 deg, 2.149 Å, rel. 80
- 47.55 deg, 1.912 Å, rel. 35
- 50.59 deg, 1.804 Å, rel. 21
- 71.95 deg, 1.312 Å, rel. 20



Theoretical X-ray diffraction stick pattern of SrBPt2Rh for a wavelength of 1.5418 Å, from a PBE-relaxed structure.

Structure:
a b c (Å): 4.3581 4.3581 4.3193
angles (deg): 90.00 90.00 90.00
Space group P4/mmm (No. 123)
Symmetry-distinct sites (fractional):
Sr: 0.0000 0.0000 0.0000 [1 per cell]
B: 0.5000 0.5000 0.5000 [1 per cell]
Pt: 0.0000 0.5000 0.5000 [2 per cell]
Rh: 0.5000 0.5000 0.0000 [1 per cell]

Peak list (6 most intense, 10 to 80 degrees two-theta, sorted by position)
- 35.79 deg, 2.509 Å, rel. 100
- 41.44 deg, 2.179 Å, rel. 35
- 41.83 deg, 2.160 Å, rel. 17
- 60.34 deg, 1.534 Å, rel. 23
- 71.91 deg, 1.313 Å, rel. 27
- 72.46 deg, 1.304 Å, rel. 13



Theoretical X-ray diffraction stick pattern of Tb3B2Pt9Rh for a wavelength of 1.5418 Å, from a PBE-relaxed structure.

Structure:
a b c (Å): 5.6904 5.6904 9.4953
angles (deg): 90.00 90.00 120.00
Space group P-3m1 (No. 164)
Symmetry-distinct sites (fractional):
Tb: 0.0000 0.0000 0.0000 [1 per cell]
Tb: 0.3333 0.6667 0.5945 [2 per cell]
B: 0.3333 0.6667 0.1473 [2 per cell]
Pt: 0.0000 0.5000 0.0000 [3 per cell]
Pt: 0.1620 0.3241 0.2769 [6 per cell]
Rh: 0.0000 0.0000 0.5000 [1 per cell]

Peak list (6 most intense, 10 to 80 degrees two-theta, sorted by position)
- 28.19 deg, 3.165 Å, rel. 27
- 33.65 deg, 2.663 Å, rel. 20
- 37.72 deg, 2.385 Å, rel. 100
- 37.90 deg, 2.374 Å, rel. 19
- 41.28 deg, 2.187 Å, rel. 83
- 65.63 deg, 1.423 Å, rel. 27



Theoretical X-ray diffraction stick pattern of Y2BPt2Rh4 for a wavelength of 1.5418 Å, from a PBE-relaxed structure.

Structure:
a b c (Å): 5.8929 5.8929 8.2170
angles (deg): 90.00 90.00 90.00
Space group I4/mmm (No. 139)
Symmetry-distinct sites (fractional):
Y: 0.0000 0.5000 0.2500 [4 per cell]
B: 0.0000 0.0000 0.0000 [2 per cell]
Pt: 0.0000 0.0000 0.2597 [4 per cell]
Rh: 0.2445 0.2445 0.5000 [8 per cell]

Peak list (6 most intense, 10 to 80 degrees two-theta, sorted by position)
- 37.56 deg, 2.394 Å, rel. 100
- 43.43 deg, 2.083 Å, rel. 34
- 44.08 deg, 2.054 Å, rel. 16
- 63.61 deg, 1.463 Å, rel. 21
- 75.82 deg, 1.255 Å, rel. 25
- 76.74 deg, 1.242 Å, rel. 12



Theoretical X-ray diffraction stick pattern of B2Ru2Pt for a wavelength of 1.5418 Å, from a PBE-relaxed structure.

Structure:
a b c (Å): 6.2603 6.2603 2.8252
angles (deg): 90.00 90.00 90.00
Space group P4/mbm (No. 127)
Symmetry-distinct sites (fractional):
B: 0.1398 0.3602 0.0000 [4 per cell]
Ru: 0.1528 0.6528 0.5000 [4 per cell]
Pt: 0.0000 0.0000 0.0000 [2 per cell]

Peak list (6 most intense, 10 to 80 degrees two-theta, sorted by position)
- 20.06 deg, 4.427 Å, rel. 49
- 31.97 deg, 2.800 Å, rel. 53
- 37.77 deg, 2.382 Å, rel. 100
- 43.13 deg, 2.097 Å, rel. 73
- 45.62 deg, 1.989 Å, rel. 52
- 45.84 deg, 1.980 Å, rel. 89



Theoretical X-ray diffraction stick pattern of SiBPt for a wavelength of 1.5418 Å, from a PBE-relaxed structure.

Structure:
a b c (Å): 2.9756 2.9756 27.9362
angles (deg): 90.00 90.00 120.00
Space group R-3m (No. 166, hexagonal axes)
Symmetry-distinct sites (fractional):
Si: 0.0000 0.0000 0.0615 [6 per cell]
B: 0.0000 0.0000 0.3392 [6 per cell]
Pt: 0.0000 0.0000 0.2095 [6 per cell]

Peak list (6 most intense, 10 to 80 degrees two-theta, sorted by position)
- 28.76 deg, 3.104 Å, rel. 29
- 35.42 deg, 2.534 Å, rel. 74
- 38.47 deg, 2.340 Å, rel. 77
- 38.68 deg, 2.328 Å, rel. 30
- 41.72 deg, 2.165 Å, rel. 100
- 62.42 deg, 1.488 Å, rel. 33



Theoretical X-ray diffraction stick pattern of Si2BPt for a wavelength of 1.5418 Å, from a PBE-relaxed structure.

Structure:
a b c (Å): 5.2064 5.2064 9.3802
angles (deg): 90.00 90.00 90.00
Space group I-42d (No. 122)
Symmetry-distinct sites (fractional):
Si: 0.1898 0.2500 0.1250 [8 per cell]
B: 0.0000 0.0000 0.0000 [4 per cell]
Pt: 0.0000 0.0000 0.5000 [4 per cell]

Peak list (6 most intense, 10 to 80 degrees two-theta, sorted by position)
- 19.50 deg, 4.552 Å, rel. 97
- 30.88 deg, 2.896 Å, rel. 100
- 33.43 deg, 2.680 Å, rel. 37
- 39.89 deg, 2.260 Å, rel. 47
- 52.52 deg, 1.742 Å, rel. 32
- 59.51 deg, 1.553 Å, rel. 30